1.
Li4Zn2InHg: theoretical PXRD pattern (Cu Kα, 1.54184 Å), based on a cell relaxed with GGA-PBE.
Intensities are scaled so that the largest is 100.

Cell and atoms:
a = 4.528 Å, b = 4.528 Å, c = 6.408 Å
α = 90.00°, β = 90.00°, γ = 90.00°
Space group P-4m2 (No. 115)
One atom of each set of equivalent atoms:
Li1 0.000 0.000 0.000 x1
Li2 0.000 0.500 0.241 x2
Li3 0.500 0.500 0.500 x1
Zn1 0.000 0.500 0.752 x2
In1 0.000 0.000 0.500 x1
Hg1 0.500 0.500 0.000 x1

Peak list (10 most intense, 2θ = 10–90°, most intense first)
- 24.07°, I = 100.0, (1 0 1)
- 39.81°, I = 84.1, (2 0 0)
- 47.06°, I = 50.4, (2 1 1)
- 72.26°, I = 28.1, (3 1 2)
- 63.29°, I = 20.5, (3 0 1)
- 77.43°, I = 15.4, (3 2 1)
- 57.56°, I = 14.0, (2 2 0)
- 27.86°, I = 14.0, (1 1 0)
- 85.82°, I = 9.0, (4 0 0)
- 65.13°, I = 5.6, (1 1 4)

=====

2.
KYAgTe3: theoretical PXRD pattern (Cu Kα, 1.54184 Å), based on a cell relaxed with GGA-PBE.
Intensities are scaled so that the largest is 100.

Cell and atoms:
a = 16.420 Å, b = 4.313 Å, c = 11.543 Å
α = 90.00°, β = 90.00°, γ = 90.00°
Space group Pnma (No. 62)
One atom of each set of equivalent atoms:
K1 0.230 0.250 0.041 x4
Y1 0.021 0.250 0.339 x4
Ag1 0.015 0.750 0.093 x4
Te1 0.095 0.750 0.872 x4
Te2 0.102 0.250 0.579 x4
Te3 0.141 0.750 0.259 x4

Peak list (10 most intense, 2θ = 10–90°, most intense first)
- 10.78°, I = 100.0, (2 0 0)
- 27.44°, I = 71.9, (3 1 1)
- 37.79°, I = 60.6, (5 1 2)
- 30.60°, I = 51.3, (3 1 2)
- 25.57°, I = 48.8, (2 0 3)
- 28.02°, I = 31.1, (2 1 2)
- 41.89°, I = 30.4, (0 2 0)
- 44.86°, I = 20.6, (8 0 1)
- 44.51°, I = 17.6, (0 1 5)
- 32.90°, I = 17.6, (2 0 4)

=====

3.
LiSmSeO: theoretical PXRD pattern (Cu Kα, 1.54184 Å), based on a cell relaxed with GGA-PBE.
Intensities are scaled so that the largest is 100.

Cell and atoms:
a = 5.940 Å, b = 7.315 Å, c = 6.473 Å
α = 90.00°, β = 98.55°, γ = 90.00°
Space group P2_1/c (No. 14)
One atom of each set of equivalent atoms:
Li1 0.125 0.236 0.487 x4
Sm1 0.390 0.602 0.761 x4
Se1 0.132 0.557 0.287 x4
O1 0.427 0.185 0.425 x4

Peak list (10 most intense, 2θ = 10–90°, most intense first)
- 33.91°, I = 100.0, (2 1 -1)
- 27.88°, I = 76.8, (0 0 2)
- 31.01°, I = 60.9, (1 2 -1)
- 37.61°, I = 57.3, (2 1 1)
- 15.08°, I = 42.1, (1 0 0)
- 33.04°, I = 40.7, (1 2 1)
- 19.38°, I = 39.5, (1 1 0)
- 40.04°, I = 30.4, (1 3 0)
- 28.10°, I = 26.4, (0 2 1)
- 50.56°, I = 22.1, (2 1 -3)

=====

4.
Hf3Pd4N4: theoretical PXRD pattern (Cu Kα, 1.54184 Å), based on a cell relaxed with GGA-PBE.
Intensities are scaled so that the largest is 100.

Cell and atoms:
a = 6.424 Å, b = 3.214 Å, c = 7.789 Å
α = 90.00°, β = 105.90°, γ = 90.00°
Space group Pm (No. 6)
One atom of each set of equivalent atoms:
Hf1 0.000 0.000 0.000 x1
Hf2 0.212 0.000 0.411 x1
Hf3 0.643 0.500 0.562 x1
Pd1 0.103 0.500 0.727 x1
Pd2 0.378 0.500 0.104 x1
Pd3 0.536 0.000 0.872 x1
Pd4 0.763 0.000 0.255 x1
N1 0.055 0.500 0.190 x1
N2 0.328 0.500 0.582 x1
N3 0.518 0.000 0.381 x1
N4 0.810 0.000 0.743 x1

Peak list (10 most intense, 2θ = 10–90°, most intense first)
- 34.87°, I = 100.0, (1 0 -3)
- 34.30°, I = 91.3, (2 0 1)
- 39.89°, I = 90.4, (2 1 -1)
- 42.19°, I = 88.3, (1 1 2)
- 32.15°, I = 79.1, (1 1 -1)
- 36.85°, I = 72.7, (0 1 2)
- 43.99°, I = 56.1, (3 0 -2)
- 30.26°, I = 31.4, (0 1 1)
- 57.34°, I = 31.0, (0 2 0)
- 67.25°, I = 28.2, (4 1 0)

=====

5.
CdSnSbP: theoretical PXRD pattern (Cu Kα, 1.54184 Å), based on a cell relaxed with GGA-PBE.
Intensities are scaled so that the largest is 100.

Cell and atoms:
a = 6.237 Å, b = 6.315 Å, c = 12.379 Å
α = 90.00°, β = 90.00°, γ = 90.00°
Space group I2_12_12_1 (No. 24)
One atom of each set of equivalent atoms:
Cd1 0.000 0.250 0.104 x4
Sn1 0.000 0.250 0.616 x4
Sb1 0.236 0.000 0.250 x4
P1 0.250 0.486 0.500 x4

Peak list (10 most intense, 2θ = 10–90°, most intense first)
- 24.69°, I = 100.0, (1 1 2)
- 40.66°, I = 25.8, (2 2 0)
- 40.83°, I = 23.4, (0 2 4)
- 41.09°, I = 22.7, (2 0 4)
- 47.92°, I = 16.4, (1 3 2)
- 48.38°, I = 15.7, (3 1 2)
- 48.67°, I = 12.6, (1 1 6)
- 20.01°, I = 8.3, (1 1 0)
- 73.93°, I = 7.9, (2 4 4)
- 35.36°, I = 7.7, (1 1 4)

=====

6.
NaSmI4: theoretical PXRD pattern (Cu Kα, 1.54184 Å), based on a cell relaxed with GGA-PBE.
Intensities are scaled so that the largest is 100.

Cell and atoms:
a = 7.575 Å, b = 7.818 Å, c = 8.098 Å
α = 90.11°, β = 92.41°, γ = 100.57°
Space group P-1 (No. 2)
One atom of each set of equivalent atoms:
Na1 0.227 0.328 0.441 x2
Sm1 0.207 0.803 0.058 x2
I1 0.053 0.993 0.747 x2
I2 0.100 0.493 0.791 x2
I3 0.399 0.725 0.381 x2
I4 0.430 0.195 0.114 x2

Peak list (10 most intense, 2θ = 10–90°, most intense first)
- 27.03°, I = 100.0, (1 -1 2)
- 28.03°, I = 86.1, (1 2 0)
- 10.94°, I = 85.2, (0 0 1)
- 25.93°, I = 73.1, (2 0 -1)
- 32.57°, I = 66.7, (-2 1 2)
- 31.96°, I = 64.1, (0 2 -2)
- 41.47°, I = 64.0, (3 -2 1)
- 24.04°, I = 62.5, (1 -2 0)
- 26.35°, I = 58.2, (-1 2 1)
- 26.60°, I = 49.1, (-2 1 1)

=====

7.
Hf2Nb4Zn3C3: theoretical PXRD pattern (Cu Kα, 1.54184 Å), based on a cell relaxed with GGA-PBE.
Intensities are scaled so that the largest is 100.

Cell and atoms:
a = 9.521 Å, b = 5.491 Å, c = 14.323 Å
α = 90.00°, β = 103.02°, γ = 90.00°
Space group C2/c (No. 15)
One atom of each set of equivalent atoms:
Hf1 0.047 0.082 0.400 x8
Nb1 0.112 0.413 0.584 x8
Nb2 0.223 0.419 0.916 x8
Zn1 0.000 0.463 0.750 x4
Zn2 0.227 0.143 0.751 x8
C1 0.082 0.247 0.000 x8
C2 0.250 0.250 0.500 x4

Peak list (10 most intense, 2θ = 10–90°, most intense first)
- 38.07°, I = 100.0, (0 2 3)
- 37.97°, I = 55.5, (3 1 -4)
- 38.72°, I = 32.4, (0 0 6)
- 32.60°, I = 27.1, (0 2 0)
- 33.24°, I = 21.6, (3 1 0)
- 58.17°, I = 20.8, (3 3 -1)
- 51.53°, I = 11.6, (0 2 6)
- 69.69°, I = 10.9, (0 2 9)
- 12.69°, I = 10.5, (0 0 2)
- 68.67°, I = 10.1, (6 2 -1)

=====

8.
Cs2AgSnI6: theoretical PXRD pattern (Cu Kα, 1.54184 Å), based on a cell relaxed with GGA-PBE.
Intensities are scaled so that the largest is 100.

Cell and atoms:
a = 8.506 Å, b = 8.508 Å, c = 12.054 Å
α = 89.98°, β = 90.00°, γ = 90.00°
Space group P1 (No. 1)
One atom of each set of equivalent atoms:
Cs1 0.000 0.000 0.000 x1
Cs2 0.000 0.000 0.500 x1
Cs3 0.500 0.500 0.000 x1
Cs4 0.500 0.501 0.501 x1
Ag1 0.000 0.501 0.750 x1
Ag2 0.500 0.000 0.250 x1
Sn1 0.000 0.500 0.250 x1
Sn2 0.500 0.001 0.750 x1
I1 0.002 0.499 0.998 x1
I2 0.242 0.248 0.749 x1
I3 0.243 0.762 0.251 x1
I4 0.252 0.743 0.749 x1
I5 0.262 0.257 0.252 x1
I6 0.498 0.001 0.002 x1
I7 0.502 0.000 0.498 x1
I8 0.738 0.743 0.249 x1
I9 0.747 0.258 0.751 x1
I10 0.757 0.238 0.250 x1
I11 0.757 0.753 0.751 x1
I12 0.998 0.501 0.502 x1

Peak list (10 most intense, 2θ = 10–90°, most intense first)
- 29.68°, I = 100.0, (0 0 4)
- 25.63°, I = 76.0, (2 0 -2)
- 42.48°, I = 73.9, (2 2 -4)
- 50.28°, I = 34.3, (0 2 -6)
- 52.68°, I = 25.9, (0 4 -4)
- 20.87°, I = 18.1, (2 0 0)
- 14.72°, I = 17.5, (0 0 2)
- 69.85°, I = 16.6, (2 2 -8)
- 69.94°, I = 16.3, (4 4 -4)
- 67.88°, I = 13.6, (2 4 -6)

=====

9.
Sm2Sc2CBr3Cl2: theoretical PXRD pattern (Cu Kα, 1.54184 Å), based on a cell relaxed with GGA-PBE.
Intensities are scaled so that the largest is 100.

Cell and atoms:
a = 17.462 Å, b = 3.705 Å, c = 7.796 Å
α = 90.00°, β = 104.78°, γ = 90.00°
Space group C2/m (No. 12)
One atom of each set of equivalent atoms:
Sm1 0.144 0.000 0.086 x4
Sc1 0.001 0.500 0.194 x4
C1 0.000 0.000 0.000 x2
Br1 0.000 0.000 0.500 x2
Br2 0.164 0.500 0.810 x4
Cl1 0.154 0.500 0.352 x4

Peak list (10 most intense, 2θ = 10–90°, most intense first)
- 33.38°, I = 100.0, (1 1 -2)
- 11.74°, I = 69.5, (0 0 1)
- 31.80°, I = 45.3, (6 0 0)
- 26.73°, I = 40.1, (4 0 1)
- 35.71°, I = 35.1, (5 1 -1)
- 32.79°, I = 31.6, (3 1 1)
- 47.33°, I = 29.7, (5 1 2)
- 46.20°, I = 24.8, (7 1 -2)
- 21.34°, I = 20.3, (4 0 -1)
- 29.63°, I = 20.2, (3 1 -1)

=====

10.
Tm2CoReSi2C: theoretical PXRD pattern (Cu Kα, 1.54184 Å), based on a cell relaxed with GGA-PBE.
Intensities are scaled so that the largest is 100.

Cell and atoms:
a = 10.723 Å, b = 3.972 Å, c = 6.733 Å
α = 90.00°, β = 128.80°, γ = 90.00°
Space group Cm (No. 8)
One atom of each set of equivalent atoms:
Tm1 0.000 0.000 0.000 x2
Tm2 0.125 0.000 0.659 x2
Co1 0.270 0.500 0.145 x2
Re1 0.359 0.000 0.524 x2
Si1 0.204 0.500 0.418 x2
Si2 0.402 0.000 0.208 x2
C1 0.069 0.500 0.841 x2

Peak list (10 most intense, 2θ = 10–90°, most intense first)
- 36.62°, I = 100.0, (3 1 -2)
- 33.85°, I = 95.6, (1 1 1)
- 34.86°, I = 52.9, (4 0 -1)
- 24.82°, I = 37.5, (1 1 0)
- 34.20°, I = 31.2, (0 0 2)
- 41.66°, I = 30.4, (2 0 -3)
- 45.68°, I = 30.4, (0 2 0)
- 39.51°, I = 29.8, (3 1 0)
- 16.91°, I = 24.8, (2 0 -1)
- 58.72°, I = 23.8, (4 2 -1)

=====

11.
TaZnPt2: theoretical PXRD pattern (Cu Kα, 1.54184 Å), based on a cell relaxed with GGA-PBE.
Intensities are scaled so that the largest is 100.

Cell and atoms:
a = 6.318 Å, b = 6.318 Å, c = 6.318 Å
α = 90.00°, β = 90.00°, γ = 90.00°
Space group F-43m (No. 216)
One atom of each set of equivalent atoms:
Ta1 0.000 0.000 0.000 x4
Zn1 0.250 0.250 0.250 x4
Pt1 0.000 0.000 0.500 x4
Pt2 0.250 0.250 0.750 x4

Peak list (10 most intense, 2θ = 10–90°, most intense first)
- 40.38°, I = 100.0, (2 2 0)
- 73.42°, I = 34.7, (4 2 2)
- 58.43°, I = 17.0, (4 0 0)
- 87.30°, I = 11.4, (4 4 0)
- 24.40°, I = 8.8, (1 1 1)
- 47.74°, I = 4.6, (3 1 1)
- 28.25°, I = 3.6, (2 0 0)
- 64.26°, I = 2.0, (3 3 1)
- 78.69°, I = 1.6, (5 1 1)
- 66.14°, I = 1.4, (4 2 0)

=====

12.
Er6I7: theoretical PXRD pattern (Cu Kα, 1.54184 Å), based on a cell relaxed with GGA-PBE.
Intensities are scaled so that the largest is 100.

Cell and atoms:
a = 21.947 Å, b = 3.954 Å, c = 12.431 Å
α = 90.00°, β = 122.61°, γ = 90.00°
Space group C2/m (No. 12)
One atom of each set of equivalent atoms:
Er1 0.130 0.000 0.049 x4
Er2 0.186 0.500 0.878 x4
Er3 0.238 0.000 0.702 x4
I1 0.000 0.500 0.000 x2
I2 0.050 0.000 0.765 x4
I3 0.114 0.500 0.568 x4
I4 0.166 0.000 0.332 x4

Peak list (10 most intense, 2θ = 10–90°, most intense first)
- 30.77°, I = 100.0, (5 1 -1)
- 32.57°, I = 31.5, (1 1 -3)
- 30.05°, I = 24.7, (2 0 -4)
- 45.91°, I = 18.2, (0 2 0)
- 42.65°, I = 17.0, (3 1 3)
- 30.67°, I = 16.5, (6 0 -4)
- 30.25°, I = 16.0, (1 1 2)
- 42.17°, I = 15.9, (10 0 -2)
- 44.43°, I = 15.2, (7 1 -5)
- 32.00°, I = 15.0, (4 0 2)

=====

13.
Sr5InAg3: theoretical PXRD pattern (Cu Kα, 1.54184 Å), based on a cell relaxed with GGA-PBE.
Intensities are scaled so that the largest is 100.

Cell and atoms:
a = 9.3401 Å, b = 9.3401 Å, c = 3.8144 Å
α = 90.00°, β = 90.00°, γ = 120.00°
Space group P-62m (No. 189)
One atom of each set of equivalent atoms:
Sr1 0.0000 0.2714 0.0000 x3
Sr2 0.3333 0.6667 0.0000 x2
In1 0.0000 0.0000 0.5000 x1
Ag1 0.0000 0.6201 0.5000 x3

Peak list (10 most intense, 2θ = 10–90°, most intense first)
- 30.25°, I = 100.0, (1 1 1)
- 33.23°, I = 85.4, (3 0 0)
- 32.26°, I = 63.2, (2 0 1)
- 55.03°, I = 38.6, (3 2 1)
- 59.36°, I = 37.1, (3 0 2)
- 29.21°, I = 34.9, (2 1 0)
- 37.71°, I = 33.9, (2 1 1)
- 47.68°, I = 16.1, (0 0 2)
- 62.35°, I = 14.1, (5 0 1)
- 56.91°, I = 13.3, (5 0 0)